(1)
This entry pairs a crystal structure of Pu2B2Ir5Rh with its simulated powder X-ray diffraction pattern. Radiation: Cu Kα (λ = 1.5418 Å). Structure: DFT lattice parameters and positions (GGA-PBE).

Lattice parameters (Å, degrees): 9.1791 9.1791 3.5200 90.00 90.00 90.00
Sites, in units of the cell vectors:
Pu 0.1788 0.3212 0.0000
Pu 0.3212 0.8212 0.0000
Pu 0.6788 0.1788 0.0000
Pu 0.8212 0.6788 0.0000
B 0.1196 0.6196 0.0000
B 0.3804 0.1196 0.0000
B 0.6196 0.8804 0.0000
B 0.8804 0.3804 0.0000
Ir 0.0000 0.5000 0.5000
Ir 0.0718 0.7829 0.5000
Ir 0.2171 0.0718 0.5000
Ir 0.2829 0.5718 0.5000
Ir 0.4282 0.2829 0.5000
Ir 0.5000 0.0000 0.5000
Ir 0.5718 0.7171 0.5000
Ir 0.7171 0.4282 0.5000
Ir 0.7829 0.9282 0.5000
Ir 0.9282 0.2171 0.5000
Rh 0.0000 0.0000 0.0000
Rh 0.5000 0.5000 0.0000

Largest 10 diffraction maxima, most intense first, 2θ from 10° to 90°:
2θ (°), I_rel
33.54, 100.0
40.27, 96.2
40.52, 82.1
43.89, 38.4
67.89, 36.8
37.70, 35.0
51.96, 29.6
44.12, 28.6
70.99, 19.1
41.75, 18.7

---

(2)
This entry pairs a crystal structure of U3Tl3CuTe8 with its simulated powder X-ray diffraction pattern. Radiation: Cu Kα (λ = 1.5418 Å). Structure: DFT lattice parameters and positions (GGA-PBE).

Lattice parameters (Å, degrees): 8.5327 8.5327 9.4849 114.20 114.20 63.29
Sites, in units of the cell vectors:
U 0.0000 0.0000 0.0000
U 0.0000 0.5000 0.0000
U 0.5000 0.0000 0.0000
Tl 0.0000 0.5000 0.5000
Tl 0.5000 0.0000 0.5000
Tl 0.5000 0.5000 0.5000
Cu 0.5000 0.5000 0.0000
Te 0.2185 0.7483 0.2163
Te 0.2400 0.2400 0.2179
Te 0.2517 0.7815 0.7837
Te 0.2944 0.2944 0.8155
Te 0.7056 0.7056 0.1845
Te 0.7483 0.2185 0.2163
Te 0.7600 0.7600 0.7821
Te 0.7815 0.2517 0.7837

Largest 10 diffraction maxima, most intense first, 2θ from 10° to 90°:
2θ (°), I_rel
27.65, 100.0
28.03, 42.1
36.94, 35.4
42.46, 30.8
38.69, 19.2
40.29, 18.6
49.80, 17.0
10.64, 13.7
57.10, 12.6
13.72, 12.2

---

(3)
This entry pairs a crystal structure of AgI with its simulated powder X-ray diffraction pattern. Radiation: Cu Kα (λ = 1.5418 Å). Structure: DFT lattice parameters and positions (GGA-PBE).

Lattice parameters (Å, degrees): 4.6026 8.4078 8.6356 116.42 98.10 98.70
Sites, in units of the cell vectors:
Ag 0.1219 0.0103 0.3522
Ag 0.2591 0.6451 0.1438
Ag 0.7409 0.3549 0.8562
Ag 0.8781 0.9897 0.6478
I 0.2523 0.2502 0.9949
I 0.2856 0.7577 0.5131
I 0.7144 0.2423 0.4869
I 0.7477 0.7498 0.0051

Largest 10 diffraction maxima, most intense first, 2θ from 10° to 90°:
2θ (°), I_rel
12.23, 100.0
23.69, 61.7
35.30, 55.7
40.82, 48.0
41.95, 44.4
42.30, 38.6
24.56, 36.5
20.79, 29.5
42.92, 28.2
42.78, 24.0

---

(4)
This entry pairs a crystal structure of Li2GeAuS4 with its simulated powder X-ray diffraction pattern. Radiation: Cu Kα (λ = 1.5418 Å). Structure: DFT lattice parameters and positions (GGA-PBE).

Lattice parameters (Å, degrees): 7.7998 7.2370 5.9185 90.00 90.00 90.00
Sites, in units of the cell vectors:
Li 0.2355 0.1752 0.0000
Li 0.2645 0.8248 0.5000
Li 0.7355 0.8248 0.5000
Li 0.7645 0.1752 0.0000
Ge 0.0000 0.6825 0.0135
Ge 0.5000 0.3175 0.5135
Au 0.0000 0.3517 0.4567
Au 0.5000 0.6483 0.9567
S 0.0000 0.3840 0.8978
S 0.0000 0.6828 0.3900
S 0.2333 0.8405 0.9061
S 0.2667 0.1595 0.4061
S 0.5000 0.3172 0.8900
S 0.5000 0.6160 0.3978
S 0.7333 0.1595 0.4061
S 0.7667 0.8405 0.9061

Largest 10 diffraction maxima, most intense first, 2θ from 10° to 90°:
2θ (°), I_rel
19.37, 100.0
12.23, 60.5
25.95, 54.9
22.80, 49.1
30.20, 47.6
37.14, 46.3
44.14, 35.8
18.82, 30.7
30.09, 29.8
54.42, 29.6

---

Please write out number 2 again, unchanged.
This entry pairs a crystal structure of U3Tl3CuTe8 with its simulated powder X-ray diffraction pattern. Radiation: Cu Kα (λ = 1.5418 Å). Structure: DFT lattice parameters and positions (GGA-PBE).

Lattice parameters (Å, degrees): 8.5327 8.5327 9.4849 114.20 114.20 63.29
Sites, in units of the cell vectors:
U 0.0000 0.0000 0.0000
U 0.0000 0.5000 0.0000
U 0.5000 0.0000 0.0000
Tl 0.0000 0.5000 0.5000
Tl 0.5000 0.0000 0.5000
Tl 0.5000 0.5000 0.5000
Cu 0.5000 0.5000 0.0000
Te 0.2185 0.7483 0.2163
Te 0.2400 0.2400 0.2179
Te 0.2517 0.7815 0.7837
Te 0.2944 0.2944 0.8155
Te 0.7056 0.7056 0.1845
Te 0.7483 0.2185 0.2163
Te 0.7600 0.7600 0.7821
Te 0.7815 0.2517 0.7837

Largest 10 diffraction maxima, most intense first, 2θ from 10° to 90°:
2θ (°), I_rel
27.65, 100.0
28.03, 42.1
36.94, 35.4
42.46, 30.8
38.69, 19.2
40.29, 18.6
49.80, 17.0
10.64, 13.7
57.10, 12.6
13.72, 12.2